Entry 1:
Structure and calculated PXRD pattern of Pu4CS3 (a crystal structure in Alexandria, relaxed with PBE; a wavelength of 1.5418 Å).
Lines closer than 0.1° are merged.

Top 12 peaks for 2θ from 5° to 70°, by angle:
2θ 28.3, I 1000; 2θ 28.4, I 344; 2θ 32.7, I 761; 2θ 33.0, I 366; 2θ 46.8, I 132; 2θ 47.1, I 383; 2θ 47.2, I 269; 2θ 55.6, I 193; 2θ 55.7, I 94; 2θ 55.9, I 147; 2θ 56.0, I 91; 2θ 58.5, I 188

Structure:
Unit cell a=6.6811 b=7.7603 c=6.6546 alpha=90.00 beta=109.21 gamma=90.00
Space group P2/c (No. 13)
Asymmetric unit:
Pu 0.2234 0.1091 0.0048 (multiplicity 4)
Pu 0.2380 0.3617 0.4849 (multiplicity 4)
C 0.0000 0.1351 0.2500 (multiplicity 2)
S 0.0000 0.3760 0.7500 (multiplicity 2)
S 0.5000 0.1246 0.7500 (multiplicity 2)
S 0.5000 0.3793 0.2500 (multiplicity 2)

Entry 2:
Structure and calculated PXRD pattern of Cs2AcS10 (a crystal structure in Alexandria, relaxed with PBE; a wavelength of 1.5418 Å).
Lines closer than 0.1° are merged.

Top 12 peaks for 2θ from 5° to 70°, by angle:
2θ 6.5, I 318; 2θ 16.5, I 153; 2θ 17.9, I 543; 2θ 20.0, I 1000; 2θ 21.6, I 284; 2θ 27.0, I 152; 2θ 30.6, I 174; 2θ 31.5, I 473; 2θ 34.6, I 265; 2θ 35.6, I 212; 2θ 36.5, I 350; 2θ 39.5, I 171

Structure:
Unit cell a=5.9188 b=27.1843 c=5.8490 alpha=90.00 beta=90.00 gamma=90.00
Space group Pbam (No. 55)
Asymmetric unit:
Cs 0.0030 0.1476 0.0000 (multiplicity 4)
Ac 0.0000 0.5000 0.5000 (multiplicity 2)
S 0.0002 0.0376 0.5000 (multiplicity 4)
S 0.0026 0.4146 0.1738 (multiplicity 8)
S 0.2277 0.7147 0.5000 (multiplicity 4)
S 0.2464 0.2852 0.5000 (multiplicity 4)

Entry 3:
Structure and calculated PXRD pattern of La8CoNi2Ir (a crystal structure in Alexandria, relaxed with PBE; a wavelength of 1.5418 Å).
Lines closer than 0.1° are merged.

Top 12 peaks for 2θ from 5° to 70°, by angle:
2θ 18.5, I 321; 2θ 18.9, I 315; 2θ 26.4, I 255; 2θ 28.1, I 1000; 2θ 28.4, I 645; 2θ 29.6, I 363; 2θ 30.1, I 518; 2θ 36.4, I 536; 2θ 36.9, I 399; 2θ 42.9, I 346; 2θ 46.0, I 551; 2θ 48.1, I 220

Structure:
Unit cell a=6.6885 b=8.4413 c=6.7500 alpha=90.00 beta=91.24 gamma=90.00
Space group P2/m (No. 10)
Asymmetric unit:
La 0.1491 0.0000 0.2311 (multiplicity 2)
La 0.1574 0.5000 0.2294 (multiplicity 2)
La 0.3420 0.2598 0.7189 (multiplicity 4)
Co 0.5000 0.5000 0.5000 (multiplicity 1)
Ni 0.0000 0.2510 0.0000 (multiplicity 2)
Ir 0.5000 0.0000 0.5000 (multiplicity 1)

Entry 4:
Structure and calculated PXRD pattern of Er3GaTe (a crystal structure in Alexandria, relaxed with PBE; a wavelength of 1.5418 Å).
Lines closer than 0.1° are merged.

Top 12 peaks for 2θ from 5° to 70°, by angle:
2θ 24.1, I 327; 2θ 28.0, I 190; 2θ 31.0, I 197; 2θ 31.9, I 191; 2θ 32.7, I 505; 2θ 34.7, I 1000; 2θ 35.6, I 554; 2θ 41.1, I 313; 2θ 49.3, I 162; 2θ 53.5, I 251; 2θ 53.8, I 132; 2θ 66.2, I 166

Structure:
Unit cell a=10.2314 b=6.8114 c=8.7815 alpha=90.00 beta=115.40 gamma=90.00
Space group P2_1/c (No. 14)
Asymmetric unit:
Er 0.0562 0.2401 0.1533 (multiplicity 4)
Er 0.2878 0.5159 0.0232 (multiplicity 4)
Er 0.2905 0.5156 0.5167 (multiplicity 4)
Ga 0.1509 0.7433 0.7007 (multiplicity 4)
Te 0.4204 0.2457 0.3355 (multiplicity 4)

Entry 5:
Structure and calculated PXRD pattern of Nd8Sm3Er3 (a crystal structure in Alexandria, relaxed with PBE; a wavelength of 1.5418 Å).
Lines closer than 0.1° are merged.

Top 12 peaks for 2θ from 5° to 70°, by angle:
2θ 28.6, I 163; 2θ 29.3, I 335; 2θ 30.1, I 294; 2θ 31.2, I 520; 2θ 31.3, I 1000; 2θ 33.2, I 510; 2θ 43.9, I 210; 2θ 55.6, I 198; 2θ 56.8, I 110; 2θ 59.1, I 115; 2θ 60.1, I 135; 2θ 61.3, I 153

Structure:
Unit cell a=5.7299 b=10.9461 c=15.2863 alpha=90.00 beta=90.00 gamma=90.00
Space group Immm (No. 71)
Asymmetric unit:
Nd 0.0000 0.1585 0.2228 (multiplicity 8)
Nd 0.0000 0.3375 0.3966 (multiplicity 8)
Sm 0.0000 0.0000 0.5000 (multiplicity 2)
Sm 0.0000 0.5000 0.1795 (multiplicity 4)
Er 0.0000 0.0000 0.0000 (multiplicity 2)
Er 0.0000 0.2999 0.0000 (multiplicity 4)